Entry 1:
# AcPmNi2
Calculated PXRD pattern, Cu Kα. Input: a cell relaxed with PBE.
Intensities are scaled so that the largest is 100.

Principal peaks in the range 2θ from 10° to 90°, sorted by position:
2θ = 26.14°, rel. 51; 2θ = 31.72°, rel. 100; 2θ = 32.54°, rel. 29; 2θ = 33.37°, rel. 46; 2θ = 39.46°, rel. 53; 2θ = 41.58°, rel. 26; 2θ = 53.76°, rel. 29; 2θ = 54.31°, rel. 39

Atomic structure:
abc: 3.939 4.344 5.841
angles: 90.00 109.58 90.00
Fractional coordinates of all 4 atoms:
Ac1 0.000 0.000 0.000
Pm1 0.272 0.500 0.543
Ni1 0.576 0.500 0.151
Ni2 0.713 0.000 0.427

=====

Entry 2:
# Ac2PrNi3
Calculated PXRD pattern, Cu Kα. Input: a cell relaxed with PBE.
Intensities are scaled so that the largest is 100.

Principal peaks in the range 2θ from 10° to 90°, sorted by position:
2θ = 27.70°, rel. 49; 2θ = 27.83°, rel. 100; 2θ = 37.91°, rel. 52; 2θ = 38.21°, rel. 25; 2θ = 41.34°, rel. 49; 2θ = 47.84°, rel. 22; 2θ = 57.50°, rel. 12; 2θ = 58.15°, rel. 20

Atomic structure:
abc: 8.181 8.181 5.161
angles: 90.00 90.00 60.50
Fractional coordinates of all 12 atoms:
Ac1 0.011 0.667 0.750
Ac2 0.333 0.989 0.750
Ac3 0.667 0.011 0.250
Ac4 0.989 0.333 0.250
Pr1 0.345 0.655 0.250
Pr2 0.655 0.345 0.750
Ni1 0.000 0.000 0.000
Ni2 0.000 0.000 0.500
Ni3 0.335 0.335 0.000
Ni4 0.335 0.335 0.500
Ni5 0.665 0.665 0.000
Ni6 0.665 0.665 0.500

=====

Entry 3:
# Ac2PrNi
Calculated PXRD pattern, Cu Kα. Input: a cell relaxed with PBE.
Intensities are scaled so that the largest is 100.

Principal peaks in the range 2θ from 10° to 90°, sorted by position:
2θ = 28.59°, rel. 100; 2θ = 28.87°, rel. 33; 2θ = 29.39°, rel. 27; 2θ = 30.11°, rel. 29; 2θ = 31.05°, rel. 30; 2θ = 32.26°, rel. 37; 2θ = 35.12°, rel. 22; 2θ = 49.38°, rel. 23

Atomic structure:
abc: 7.438 10.549 6.800
angles: 90.00 90.00 90.00
Fractional coordinates of all 16 atoms:
Ac1 0.176 0.070 0.174
Ac2 0.176 0.430 0.174
Ac3 0.324 0.570 0.674
Ac4 0.324 0.930 0.674
Ac5 0.676 0.070 0.326
Ac6 0.676 0.430 0.326
Ac7 0.824 0.570 0.826
Ac8 0.824 0.930 0.826
Pr1 0.040 0.250 0.660
Pr2 0.460 0.750 0.160
Pr3 0.540 0.250 0.840
Pr4 0.960 0.750 0.340
Ni1 0.121 0.750 0.942
Ni2 0.379 0.250 0.442
Ni3 0.621 0.750 0.558
Ni4 0.879 0.250 0.058

=====

Entry 4:
# Ac2Ni9Pt
Calculated PXRD pattern, Cu Kα. Input: a cell relaxed with PBE.
Intensities are scaled so that the largest is 100.

Principal peaks in the range 2θ from 10° to 90°, sorted by position:
2θ = 20.68°, rel. 43; 2θ = 32.48°, rel. 79; 2θ = 35.43°, rel. 100; 2θ = 35.67°, rel. 95; 2θ = 41.59°, rel. 64; 2θ = 41.98°, rel. 88; 2θ = 48.92°, rel. 43; 2θ = 63.92°, rel. 37

Atomic structure:
abc: 8.795 8.795 8.795
angles: 33.26 33.26 33.26
Fractional coordinates of all 12 atoms:
Ac1 0.130 0.130 0.130
Ac2 0.870 0.870 0.870
Ni1 0.079 0.576 0.576
Ni2 0.332 0.332 0.332
Ni3 0.424 0.424 0.921
Ni4 0.424 0.921 0.424
Ni5 0.500 0.500 0.500
Ni6 0.576 0.079 0.576
Ni7 0.576 0.576 0.079
Ni8 0.668 0.668 0.668
Ni9 0.921 0.424 0.424
Pt1 0.000 0.000 0.000

=====

Entry 5:
# Ac8NiPt4
Calculated PXRD pattern, Cu Kα. Input: a cell relaxed with PBE.
Intensities are scaled so that the largest is 100.

Principal peaks in the range 2θ from 10° to 90°, sorted by position:
2θ = 10.60°, rel. 72; 2θ = 12.41°, rel. 71; 2θ = 25.66°, rel. 96; 2θ = 26.83°, rel. 61; 2θ = 27.22°, rel. 70; 2θ = 27.48°, rel. 95; 2θ = 32.80°, rel. 69; 2θ = 41.68°, rel. 100

Atomic structure:
abc: 11.008 11.008 14.271
angles: 128.34 128.34 23.28
Fractional coordinates of all 13 atoms:
Ac1 0.000 0.000 0.000
Ac2 0.042 0.042 0.756
Ac3 0.286 0.286 0.915
Ac4 0.362 0.362 0.415
Ac5 0.601 0.601 0.579
Ac6 0.646 0.646 0.320
Ac7 0.691 0.691 0.077
Ac8 0.943 0.943 0.241
Ni1 0.523 0.523 0.878
Pt1 0.181 0.181 0.219
Pt2 0.467 0.467 0.120
Pt3 0.669 0.669 0.839
Pt4 0.980 0.980 0.490

=====

Entry 6:
# Ac3NiPt3
Calculated PXRD pattern, Cu Kα. Input: a cell relaxed with PBE.
Intensities are scaled so that the largest is 100.

Principal peaks in the range 2θ from 10° to 90°, sorted by position:
2θ = 27.96°, rel. 27; 2θ = 30.53°, rel. 100; 2θ = 31.42°, rel. 35; 2θ = 34.67°, rel. 44; 2θ = 38.64°, rel. 30; 2θ = 40.57°, rel. 30; 2θ = 40.75°, rel. 27; 2θ = 42.48°, rel. 27

Atomic structure:
abc: 4.256 4.448 19.150
angles: 90.00 90.00 90.00
Fractional coordinates of all 14 atoms:
Ac1 0.000 0.000 0.000
Ac2 0.000 0.000 0.362
Ac3 0.000 0.500 0.181
Ac4 0.500 0.000 0.681
Ac5 0.500 0.500 0.500
Ac6 0.500 0.500 0.862
Ni1 0.000 0.500 0.752
Ni2 0.500 0.000 0.252
Pt1 0.000 0.000 0.528
Pt2 0.000 0.000 0.825
Pt3 0.000 0.500 0.624
Pt4 0.500 0.000 0.124
Pt5 0.500 0.500 0.028
Pt6 0.500 0.500 0.325

=====

Entry 7:
# Ac2Ni3Pt
Calculated PXRD pattern, Cu Kα. Input: a cell relaxed with PBE.
Intensities are scaled so that the largest is 100.

Principal peaks in the range 2θ from 10° to 90°, sorted by position:
2θ = 24.25°, rel. 20; 2θ = 32.29°, rel. 100; 2θ = 42.69°, rel. 51; 2θ = 54.45°, rel. 9; 2θ = 54.54°, rel. 15; 2θ = 61.98°, rel. 25; 2θ = 71.54°, rel. 13; 2θ = 71.67°, rel. 17

Atomic structure:
abc: 4.232 4.232 7.350
angles: 90.00 90.00 90.00
Fractional coordinates of all 6 atoms:
Ac1 0.000 0.000 0.000
Ac2 0.500 0.000 0.495
Ni1 0.000 0.500 0.318
Ni2 0.500 0.500 0.167
Ni3 0.500 0.500 0.847
Pt1 0.000 0.500 0.662

=====

Entry 8:
# Ac6NiPt5
Calculated PXRD pattern, Cu Kα. Input: a cell relaxed with PBE.
Intensities are scaled so that the largest is 100.

Principal peaks in the range 2θ from 10° to 90°, sorted by position:
2θ = 24.91°, rel. 3; 2θ = 28.84°, rel. 100; 2θ = 41.24°, rel. 78; 2θ = 51.10°, rel. 28; 2θ = 59.74°, rel. 13; 2θ = 67.67°, rel. 37; 2θ = 75.18°, rel. 27; 2θ = 89.54°, rel. 8

Atomic structure:
abc: 7.583 7.583 7.586
angles: 99.64 99.64 119.97
Fractional coordinates of all 12 atoms:
Ac1 0.083 0.413 0.749
Ac2 0.247 0.247 0.251
Ac3 0.413 0.083 0.749
Ac4 0.587 0.917 0.251
Ac5 0.753 0.753 0.749
Ac6 0.917 0.587 0.251
Ni1 0.000 0.000 0.500
Pt1 0.168 0.832 0.000
Pt2 0.333 0.667 0.500
Pt3 0.500 0.500 0.000
Pt4 0.667 0.333 0.500
Pt5 0.832 0.168 0.000

=====

Entry 9:
# Ac3NiPt
Calculated PXRD pattern, Cu Kα. Input: a cell relaxed with PBE.
Intensities are scaled so that the largest is 100.

Principal peaks in the range 2θ from 10° to 90°, sorted by position:
2θ = 25.08°, rel. 40; 2θ = 26.97°, rel. 44; 2θ = 29.59°, rel. 100; 2θ = 30.25°, rel. 43; 2θ = 30.59°, rel. 64; 2θ = 34.56°, rel. 47; 2θ = 36.47°, rel. 42; 2θ = 40.61°, rel. 45

Atomic structure:
abc: 7.884 7.884 12.099
angles: 123.71 123.71 32.73
Fractional coordinates of all 10 atoms:
Ac1 0.029 0.029 0.204
Ac2 0.276 0.276 0.882
Ac3 0.353 0.353 0.458
Ac4 0.647 0.647 0.542
Ac5 0.724 0.724 0.118
Ac6 0.971 0.971 0.796
Ni1 0.306 0.306 0.666
Ni2 0.694 0.694 0.334
Pt1 0.392 0.392 0.217
Pt2 0.608 0.608 0.783

=====

Entry 10:
# Ac5NiPt4
Calculated PXRD pattern, Cu Kα. Input: a cell relaxed with PBE.
Intensities are scaled so that the largest is 100.

Principal peaks in the range 2θ from 10° to 90°, sorted by position:
2θ = 28.87°, rel. 100; 2θ = 41.27°, rel. 65; 2θ = 41.39°, rel. 13; 2θ = 51.12°, rel. 14; 2θ = 51.22°, rel. 14; 2θ = 67.70°, rel. 18; 2θ = 67.79°, rel. 12; 2θ = 75.22°, rel. 18

Atomic structure:
abc: 11.549 11.549 11.549
angles: 158.16 148.89 38.34
Fractional coordinates of all 10 atoms:
Ac1 0.000 0.000 0.000
Ac2 0.201 0.201 0.000
Ac3 0.402 0.402 0.000
Ac4 0.598 0.598 0.000
Ac5 0.799 0.799 0.000
Ni1 0.500 0.000 0.500
Pt1 0.100 0.600 0.500
Pt2 0.302 0.802 0.500
Pt3 0.698 0.198 0.500
Pt4 0.900 0.400 0.500

=====

Entry 11:
# Ac4NiPt
Calculated PXRD pattern, Cu Kα. Input: a cell relaxed with PBE.
Intensities are scaled so that the largest is 100.

Principal peaks in the range 2θ from 10° to 90°, sorted by position:
2θ = 27.13°, rel. 100; 2θ = 30.05°, rel. 61; 2θ = 32.31°, rel. 86; 2θ = 32.84°, rel. 100; 2θ = 47.04°, rel. 31; 2θ = 48.36°, rel. 30; 2θ = 52.69°, rel. 33; 2θ = 73.96°, rel. 30

Atomic structure:
abc: 6.807 7.623 8.186
angles: 90.00 107.45 90.00
Fractional coordinates of all 12 atoms:
Ac1 0.002 0.001 0.244
Ac2 0.002 0.499 0.244
Ac3 0.453 0.250 0.617
Ac4 0.458 0.250 0.111
Ac5 0.542 0.750 0.889
Ac6 0.547 0.750 0.383
Ac7 0.998 0.501 0.756
Ac8 0.998 0.999 0.756
Ni1 0.208 0.750 0.053
Ni2 0.792 0.250 0.947
Pt1 0.200 0.750 0.549
Pt2 0.800 0.250 0.451

=====

Entry 12:
# SrAcNiPt
Calculated PXRD pattern, Cu Kα. Input: a cell relaxed with PBE.
Intensities are scaled so that the largest is 100.

Principal peaks in the range 2θ from 10° to 90°, sorted by position:
2θ = 21.07°, rel. 23; 2θ = 27.03°, rel. 100; 2θ = 36.93°, rel. 77; 2θ = 40.22°, rel. 69; 2θ = 46.36°, rel. 24; 2θ = 55.74°, rel. 27; 2θ = 60.70°, rel. 22; 2θ = 68.76°, rel. 29

Atomic structure:
abc: 4.868 4.868 5.296
angles: 90.00 90.00 120.00
Fractional coordinates of all 4 atoms:
Sr1 0.000 0.000 0.000
Ac1 0.667 0.333 0.504
Ni1 0.333 0.667 0.753
Pt1 0.333 0.667 0.247

=====

Entry 13:
# AcPuNi2Sb2
Calculated PXRD pattern, Cu Kα. Input: a cell relaxed with PBE.
Intensities are scaled so that the largest is 100.

Principal peaks in the range 2θ from 10° to 90°, sorted by position:
2θ = 23.17°, rel. 19; 2θ = 31.64°, rel. 100; 2θ = 40.72°, rel. 43; 2θ = 43.26°, rel. 10; 2θ = 52.46°, rel. 24; 2θ = 60.91°, rel. 22; 2θ = 68.46°, rel. 22; 2θ = 89.88°, rel. 8

Atomic structure:
abc: 4.432 4.432 8.366
angles: 90.00 90.00 120.00
Fractional coordinates of all 6 atoms:
Ac1 0.000 0.000 0.000
Pu1 0.000 0.000 0.500
Ni1 0.333 0.667 0.713
Ni2 0.667 0.333 0.287
Sb1 0.333 0.667 0.267
Sb2 0.667 0.333 0.733

=====

Entry 14:
# Ac4Ni3Rh
Calculated PXRD pattern, Cu Kα. Input: a cell relaxed with PBE.
Intensities are scaled so that the largest is 100.

Principal peaks in the range 2θ from 10° to 90°, sorted by position:
2θ = 25.51°, rel. 50; 2θ = 30.75°, rel. 36; 2θ = 30.95°, rel. 100; 2θ = 31.83°, rel. 43; 2θ = 38.07°, rel. 58; 2θ = 41.36°, rel. 25; 2θ = 44.36°, rel. 21; 2θ = 53.12°, rel. 21

Atomic structure:
abc: 4.084 4.366 11.631
angles: 90.00 90.00 90.00
Fractional coordinates of all 8 atoms:
Ac1 0.000 0.000 0.000
Ac2 0.000 0.500 0.267
Ac3 0.500 0.000 0.496
Ac4 0.500 0.500 0.767
Ni1 0.000 0.000 0.698
Ni2 0.000 0.500 0.566
Ni3 0.500 0.500 0.053
Rh1 0.500 0.000 0.217